1.
# CeZnPd
Computed X-ray powder pattern, a wavelength of 1.5418 Å. Input: a DFT-relaxed cell (PBE, the Materials Project).
No peak broadening, texture or thermal motion is included.

Peak list (12 most intense, 2θ = 10–90°, low angle first)
| 2θ (°) | Rel. int. |
| --- | --- |
| 32.71 | 44.5 |
| 32.91 | 17.7 |
| 34.27 | 25.8 |
| 34.79 | 100.0 |
| 35.90 | 17.9 |
| 39.20 | 52.4 |
| 40.60 | 42.0 |
| 45.49 | 16.5 |
| 65.10 | 14.0 |
| 70.14 | 16.2 |
| 72.90 | 17.5 |
| 75.19 | 14.8 |

Atomic structure:
abc: 6.885 4.444 8.054
angles: 90.00 90.00 90.00
Fractional coordinates of all 12 atoms:
Ce1 0.033 0.250 0.196
Ce2 0.467 0.750 0.696
Ce3 0.533 0.250 0.304
Ce4 0.967 0.750 0.804
Zn1 0.154 0.250 0.568
Zn2 0.346 0.750 0.068
Zn3 0.654 0.250 0.932
Zn4 0.846 0.750 0.432
Pd1 0.241 0.750 0.392
Pd2 0.259 0.250 0.892
Pd3 0.741 0.750 0.108
Pd4 0.759 0.250 0.608


2.
# LaGePd
Computed X-ray powder pattern, a wavelength of 1.5418 Å. Input: a DFT-relaxed cell (PBE, the Materials Project).
No peak broadening, texture or thermal motion is included.

Peak list (12 most intense, 2θ = 10–90°, low angle first)
| 2θ (°) | Rel. int. |
| --- | --- |
| 32.15 | 100.0 |
| 33.14 | 55.3 |
| 34.00 | 28.8 |
| 36.45 | 13.4 |
| 39.45 | 37.0 |
| 40.45 | 58.2 |
| 51.73 | 13.7 |
| 53.04 | 16.1 |
| 54.77 | 12.5 |
| 62.32 | 15.5 |
| 65.80 | 14.6 |
| 67.74 | 12.6 |

Atomic structure:
abc: 5.747 5.747 7.675
angles: 129.07 129.07 46.84
Fractional coordinates of all 6 atoms:
La1 0.034 0.034 0.294
La2 0.966 0.966 0.706
Ge1 0.339 0.339 0.889
Ge2 0.661 0.661 0.111
Pd1 0.314 0.314 0.278
Pd2 0.686 0.686 0.722


Copy entry 1 word for word.
# CeZnPd
Computed X-ray powder pattern, a wavelength of 1.5418 Å. Input: a DFT-relaxed cell (PBE, the Materials Project).
No peak broadening, texture or thermal motion is included.

Peak list (12 most intense, 2θ = 10–90°, low angle first)
| 2θ (°) | Rel. int. |
| --- | --- |
| 32.71 | 44.5 |
| 32.91 | 17.7 |
| 34.27 | 25.8 |
| 34.79 | 100.0 |
| 35.90 | 17.9 |
| 39.20 | 52.4 |
| 40.60 | 42.0 |
| 45.49 | 16.5 |
| 65.10 | 14.0 |
| 70.14 | 16.2 |
| 72.90 | 17.5 |
| 75.19 | 14.8 |

Atomic structure:
abc: 6.885 4.444 8.054
angles: 90.00 90.00 90.00
Fractional coordinates of all 12 atoms:
Ce1 0.033 0.250 0.196
Ce2 0.467 0.750 0.696
Ce3 0.533 0.250 0.304
Ce4 0.967 0.750 0.804
Zn1 0.154 0.250 0.568
Zn2 0.346 0.750 0.068
Zn3 0.654 0.250 0.932
Zn4 0.846 0.750 0.432
Pd1 0.241 0.750 0.392
Pd2 0.259 0.250 0.892
Pd3 0.741 0.750 0.108
Pd4 0.759 0.250 0.608


What did the second record say?
# LaGePd
Computed X-ray powder pattern, a wavelength of 1.5418 Å. Input: a DFT-relaxed cell (PBE, the Materials Project).
No peak broadening, texture or thermal motion is included.

Peak list (12 most intense, 2θ = 10–90°, low angle first)
| 2θ (°) | Rel. int. |
| --- | --- |
| 32.15 | 100.0 |
| 33.14 | 55.3 |
| 34.00 | 28.8 |
| 36.45 | 13.4 |
| 39.45 | 37.0 |
| 40.45 | 58.2 |
| 51.73 | 13.7 |
| 53.04 | 16.1 |
| 54.77 | 12.5 |
| 62.32 | 15.5 |
| 65.80 | 14.6 |
| 67.74 | 12.6 |

Atomic structure:
abc: 5.747 5.747 7.675
angles: 129.07 129.07 46.84
Fractional coordinates of all 6 atoms:
La1 0.034 0.034 0.294
La2 0.966 0.966 0.706
Ge1 0.339 0.339 0.889
Ge2 0.661 0.661 0.111
Pd1 0.314 0.314 0.278
Pd2 0.686 0.686 0.722